Entry 1:
Diffraction record for YPaHgPd. The X-ray powder pattern is computed, not measured: it uses the GGA-PBE geometry in Alexandria and a wavelength of 1.5418 Å.
No peak broadening, texture or thermal motion is included.

Structure:
Unit cell a=5.1287 b=5.1287 c=5.1287 alpha=60.00 beta=60.00 gamma=60.00
Fractional positions:
Y (0.0000, 0.0000, 0.0000)
Pa (0.5000, 0.5000, 0.5000)
Hg (0.7500, 0.7500, 0.7500)
Pd (0.2500, 0.2500, 0.2500)

Top 9 peaks for 10° ≤ 2θ ≤ 80°, low angle first:
d = 4.188 Å, 2θ = 21.2°, I 15; d = 2.564 Å, 2θ = 35.0°, I 100; d = 2.187 Å, 2θ = 41.3°, I 9; d = 1.813 Å, 2θ = 50.3°, I 18; d = 1.664 Å, 2θ = 55.2°, I 4; d = 1.481 Å, 2θ = 62.8°, I 37; d = 1.396 Å, 2θ = 67.0°, I 3; d = 1.282 Å, 2θ = 73.9°, I 12; d = 1.226 Å, 2θ = 77.9°, I 3

***

Entry 2:
Diffraction record for PmPaHgSb. The X-ray powder pattern is computed, not measured: it uses the GGA-PBE geometry in Alexandria and a wavelength of 1.5418 Å.
No peak broadening, texture or thermal motion is included.

Structure:
Unit cell a=5.3524 b=5.3524 c=5.3524 alpha=60.00 beta=60.00 gamma=60.00
Fractional positions:
Pm (0.0000, 0.0000, 0.0000)
Pa (0.5000, 0.5000, 0.5000)
Hg (0.7500, 0.7500, 0.7500)
Sb (0.2500, 0.2500, 0.2500)

Top 10 peaks for 10° ≤ 2θ ≤ 80°, low angle first:
d = 4.370 Å, 2θ = 20.3°, I 5; d = 3.785 Å, 2θ = 23.5°, I 1; d = 2.676 Å, 2θ = 33.5°, I 100; d = 2.282 Å, 2θ = 39.5°, I 3; d = 1.892 Å, 2θ = 48.1°, I 18; d = 1.737 Å, 2θ = 52.7°, I 2; d = 1.545 Å, 2θ = 59.9°, I 38; d = 1.457 Å, 2θ = 63.9°, I 1; d = 1.338 Å, 2θ = 70.4°, I 12; d = 1.279 Å, 2θ = 74.1°, I 1

***

Entry 3:
Diffraction record for PrPaHg2. The X-ray powder pattern is computed, not measured: it uses the GGA-PBE geometry in Alexandria and a wavelength of 1.5418 Å.
No peak broadening, texture or thermal motion is included.

Structure:
Unit cell a=11.0901 b=11.0901 c=11.0901 alpha=17.34 beta=17.34 gamma=17.34
Fractional positions:
Pr (0.0000, 0.0000, 0.0000)
Pa (0.5000, 0.5000, 0.5000)
Hg (0.2486, 0.2486, 0.2486)
Hg (0.7514, 0.7514, 0.7514)

Top 10 peaks for 10° ≤ 2θ ≤ 80°, low angle first:
d = 2.885 Å, 2θ = 31.0°, I 1; d = 2.730 Å, 2θ = 32.8°, I 100; d = 2.463 Å, 2θ = 36.5°, I 1; d = 2.365 Å, 2θ = 38.1°, I 50; d = 2.076 Å, 2θ = 43.6°, I 1; d = 1.672 Å, 2θ = 54.9°, I 35; d = 1.653 Å, 2θ = 55.6°, I 1; d = 1.426 Å, 2θ = 65.5°, I 42; d = 1.365 Å, 2θ = 68.8°, I 12; d = 1.328 Å, 2θ = 71.0°, I 1

***

Entry 4:
Diffraction record for Pa2HgPt. The X-ray powder pattern is computed, not measured: it uses the GGA-PBE geometry in Alexandria and a wavelength of 1.5418 Å.
No peak broadening, texture or thermal motion is included.

Structure:
Unit cell a=4.5074 b=4.5074 c=4.3765 alpha=90.00 beta=90.00 gamma=90.00
Fractional positions:
Pa (0.0000, 0.5000, 0.0000)
Pa (0.5000, 0.0000, 0.0000)
Hg (0.0000, 0.0000, 0.5000)
Pt (0.5000, 0.5000, 0.5000)

Top 8 peaks for 10° ≤ 2θ ≤ 80°, low angle first:
d = 2.576 Å, 2θ = 34.8°, I 100; d = 2.254 Å, 2θ = 40.0°, I 34; d = 2.188 Å, 2θ = 41.3°, I 16; d = 1.594 Å, 2θ = 57.9°, I 12; d = 1.570 Å, 2θ = 58.8°, I 23; d = 1.355 Å, 2θ = 69.3°, I 28; d = 1.326 Å, 2θ = 71.1°, I 13; d = 1.288 Å, 2θ = 73.5°, I 12

***

Entry 5:
Diffraction record for Pa2ReHg. The X-ray powder pattern is computed, not measured: it uses the GGA-PBE geometry in Alexandria and a wavelength of 1.5418 Å.
No peak broadening, texture or thermal motion is included.

Structure:
Unit cell a=3.2013 b=3.2013 c=8.8374 alpha=90.00 beta=90.00 gamma=90.00
Fractional positions:
Pa (0.0000, 0.0000, 0.2125)
Pa (0.0000, 0.0000, 0.7875)
Re (0.5000, 0.5000, 0.0000)
Hg (0.5000, 0.5000, 0.5000)

Top 10 peaks for 10° ≤ 2θ ≤ 80°, low angle first:
d = 8.837 Å, 2θ = 10.0°, I 6; d = 2.592 Å, 2θ = 34.6°, I 100; d = 2.264 Å, 2θ = 39.8°, I 39; d = 2.209 Å, 2θ = 40.8°, I 11; d = 2.168 Å, 2θ = 41.7°, I 7; d = 1.601 Å, 2θ = 57.6°, I 13; d = 1.581 Å, 2θ = 58.4°, I 16; d = 1.547 Å, 2θ = 59.8°, I 7; d = 1.362 Å, 2θ = 68.9°, I 28; d = 1.296 Å, 2θ = 73.0°, I 8

***

Entry 6:
Diffraction record for Pa2HgS4. The X-ray powder pattern is computed, not measured: it uses the GGA-PBE geometry in Alexandria and a wavelength of 1.5418 Å.
No peak broadening, texture or thermal motion is included.

Structure:
Unit cell a=8.3772 b=8.3772 c=8.3772 alpha=124.20 beta=77.52 gamma=130.84
Fractional positions:
Pa (0.0000, 0.0000, 0.0000)
Pa (0.0000, 0.5000, 0.5000)
Pa (0.4006, 0.3484, 0.5522)
Pa (0.7962, 0.8484, 0.4478)
Hg (0.0915, 0.4968, 0.0947)
Hg (0.4021, 0.9968, 0.9053)
S (0.0841, 0.3723, 0.6932)
S (0.0841, 0.8909, 0.2118)
S (0.1424, 0.9879, 0.6545)
S (0.3334, 0.4879, 0.3455)
S (0.6791, 0.3909, 0.3068)
S (0.6791, 0.8723, 0.7882)
S (0.7282, 0.4782, 0.7500)
S (0.7282, 0.9782, 0.2500)

Top 10 peaks for 10° ≤ 2θ ≤ 80°, low angle first:
d = 6.149 Å, 2θ = 14.4°, I 68; d = 4.072 Å, 2θ = 21.8°, I 100; d = 3.693 Å, 2θ = 24.1°, I 69; d = 3.361 Å, 2θ = 26.5°, I 65; d = 3.305 Å, 2θ = 27.0°, I 86; d = 3.094 Å, 2θ = 28.9°, I 64; d = 2.767 Å, 2θ = 32.4°, I 66; d = 2.604 Å, 2θ = 34.4°, I 65; d = 2.075 Å, 2θ = 43.6°, I 57; d = 1.959 Å, 2θ = 46.3°, I 56